Computed X-ray diffraction stick pattern
Compound: PrHo2Th
Radiation: Cu Kα
Structure: a crystal structure in Alexandria, relaxed with PBE
Kinematic intensities with the Lorentz-polarization factor, no thermal factor.

Structure:
abc: 11.871 11.871 11.871
angles: 17.40 17.40 17.40
Element x y z (fractional)
Pr: 0.000 0.000 0.000
Ho: 0.418 0.418 0.418
Ho: 0.582 0.582 0.582
Th: 0.834 0.834 0.834

Principal peaks in the range 10 to 90 degrees two-theta, by angle:
2θ/deg  I/Imax
28.8  15.0
29.2  29.5
30.6  72.0
31.5  100.0
33.9  86.5
50.9  39.8
53.3  22.0
58.1  19.6
60.5  50.0
61.1  15.3
62.6  15.0
85.7  18.2